Entry 1:
For K2H4OsO6, the GGA-PBE geometry in Alexandria gives the simulated powder diffractogram in this record (copper Kα).
No peak broadening, texture or thermal motion is included.

Most intense lines, 10 to 90 degrees two-theta, in order of rising 2θ:
d/Å	2theta	I_rel
4.745	18.7	100
4.570	19.4	24
3.232	27.6	29
2.775	32.3	39
2.671	33.6	38
2.285	39.4	25
2.191	41.2	14
1.814	50.3	13
1.764	51.8	19
1.736	52.7	16

Atomic structure:
abc: 5.7525 5.7525 5.7525
angles: 111.64 111.64 105.21
Fractional positions:
K: 0.2500 0.7500 0.5000
K: 0.7500 0.2500 0.5000
H: 0.1757 0.1757 0.3514
H: 0.1757 0.8243 0.0000
H: 0.8243 0.1757 0.0000
H: 0.8243 0.8243 0.6486
Os: 0.5000 0.5000 0.0000
O: 0.2418 0.2418 0.0000
O: 0.2815 0.2815 0.5631
O: 0.2815 0.7185 0.0000
O: 0.7185 0.2815 0.0000
O: 0.7185 0.7185 0.4369
O: 0.7582 0.7582 0.0000

=====

Entry 2:
For KP2H4O8, the GGA-PBE geometry in Alexandria gives the simulated powder diffractogram in this record (copper Kα).
No peak broadening, texture or thermal motion is included.

Most intense lines, 10 to 90 degrees two-theta, in order of rising 2θ:
d/Å	2theta	I_rel
4.681	19.0	30
4.409	20.1	100
3.941	22.6	13
3.732	23.8	55
3.479	25.6	77
3.260	27.4	13
2.911	30.7	25
2.866	31.2	16
2.614	34.3	17
2.602	34.5	16

Atomic structure:
abc: 8.0778 11.6295 9.0290
angles: 90.00 102.39 90.00
Fractional positions:
K: 0.2431 0.0959 0.2219
K: 0.2431 0.4041 0.7219
K: 0.7569 0.5959 0.2781
K: 0.7569 0.9041 0.7781
P: 0.1602 0.0813 0.7470
P: 0.1602 0.4187 0.2470
P: 0.3622 0.7456 0.7125
P: 0.3622 0.7544 0.2125
P: 0.6378 0.2456 0.7875
P: 0.6378 0.2544 0.2875
P: 0.8398 0.5813 0.7530
P: 0.8398 0.9187 0.2530
H: 0.0751 0.7292 0.6606
H: 0.0751 0.7708 0.1606
H: 0.3022 0.5587 0.3820
H: 0.3022 0.9413 0.8820
H: 0.4516 0.7433 0.4996
H: 0.4516 0.7567 0.9996
H: 0.4666 0.1006 0.7031
H: 0.4666 0.3994 0.2031
H: 0.5334 0.6006 0.7969
H: 0.5334 0.8994 0.2969
H: 0.5484 0.2433 0.0004
H: 0.5484 0.2567 0.5004
H: 0.6978 0.0587 0.1180
H: 0.6978 0.4413 0.6180
H: 0.9249 0.2292 0.8394
H: 0.9249 0.2708 0.3394
O: 0.0078 0.5249 0.8368
O: 0.0078 0.9751 0.3368
O: 0.0960 0.1966 0.7964
O: 0.0960 0.3034 0.2964
O: 0.1769 0.7463 0.1185
O: 0.1769 0.7537 0.6185
O: 0.2375 0.0126 0.8998
O: 0.2375 0.4874 0.3998
O: 0.2904 0.0907 0.6485
O: 0.2904 0.4093 0.1485
O: 0.4005 0.6158 0.7541
O: 0.4005 0.8842 0.2541
O: 0.4038 0.6775 0.3523
O: 0.4038 0.8225 0.8523
O: 0.4769 0.7137 0.1026
O: 0.4769 0.7863 0.6026
O: 0.5231 0.2137 0.3974
O: 0.5231 0.2863 0.8974
O: 0.5962 0.1775 0.1477
O: 0.5962 0.3225 0.6477
O: 0.5995 0.1158 0.7459
O: 0.5995 0.3842 0.2459
O: 0.7096 0.5907 0.8515
O: 0.7096 0.9093 0.3515
O: 0.7625 0.5126 0.6002
O: 0.7625 0.9874 0.1002
O: 0.8231 0.2463 0.3815
O: 0.8231 0.2537 0.8815
O: 0.9040 0.6966 0.7036
O: 0.9040 0.8034 0.2036
O: 0.9922 0.0249 0.6632
O: 0.9922 0.4751 0.1632